1.
FeReIr6: computed XRD peak list (λ = 1.5418 Å (Cu Kα)), based on a crystal structure in OQMD, relaxed with GGA-PBE.
No peak broadening, texture or thermal motion is included.

Structural model:
a b c (Å): 5.4866 5.4866 4.3757
angles (deg): 90.00 90.00 120.00
Fractional coordinates of all 8 atoms:
Fe: 0.0000 0.0000 0.0000
Re: 0.6667 0.3333 0.5000
Ir: 0.1655 0.3310 0.5000
Ir: 0.1655 0.8345 0.5000
Ir: 0.5009 0.0018 0.0000
Ir: 0.5009 0.4991 0.0000
Ir: 0.6690 0.8345 0.5000
Ir: 0.9982 0.4991 0.0000

Largest 6 diffraction maxima, most intense first, 10 to 90 degrees two-theta:
2theta, d/Å, I_rel
43.34, 2.088, 100
41.26, 2.188, 25
37.87, 2.376, 25
83.11, 1.162, 21
76.66, 1.243, 19
68.39, 1.372, 17


2.
Fe5Si2Ir: computed XRD peak list (λ = 1.5418 Å (Cu Kα)), based on a crystal structure in OQMD, relaxed with GGA-PBE.
No peak broadening, texture or thermal motion is included.

Structural model:
a b c (Å): 4.0281 4.0281 5.7005
angles (deg): 90.00 90.00 90.00
Fractional coordinates of all 8 atoms:
Fe: 0.0000 0.0000 0.0000
Fe: 0.0000 0.0000 0.5000
Fe: 0.0000 0.5000 0.2312
Fe: 0.5000 0.0000 0.7688
Fe: 0.5000 0.5000 0.0000
Si: 0.0000 0.5000 0.7579
Si: 0.5000 0.0000 0.2421
Ir: 0.5000 0.5000 0.5000

Largest 6 diffraction maxima, most intense first, 10 to 90 degrees two-theta:
2theta, d/Å, I_rel
45.00, 2.015, 100
83.03, 1.163, 31
27.11, 3.290, 18
31.40, 2.849, 17
65.53, 1.424, 15
22.07, 4.028, 12


3.
Tb2TmFeSn3Ir2: computed XRD peak list (λ = 1.5418 Å (Cu Kα)), based on a crystal structure in OQMD, relaxed with GGA-PBE.
No peak broadening, texture or thermal motion is included.

Structural model:
a b c (Å): 3.7507 7.5832 7.5832
angles (deg): 119.77 90.00 90.00
Fractional coordinates of all 9 atoms:
Tb: 0.0000 0.2040 0.7960
Tb: 0.0000 0.7960 0.2040
Tm: 0.0000 0.3883 0.3883
Fe: 0.0000 0.7943 0.7943
Sn: 0.5000 0.0536 0.0536
Sn: 0.5000 0.5384 0.7947
Sn: 0.5000 0.7947 0.5384
Ir: 0.5000 0.1324 0.4614
Ir: 0.5000 0.4614 0.1324

Largest 6 diffraction maxima, most intense first, 10 to 90 degrees two-theta:
2theta, d/Å, I_rel
33.59, 2.668, 100
36.34, 2.472, 72
36.11, 2.487, 33
41.14, 2.194, 26
61.99, 1.497, 21
48.55, 1.875, 20


4.
KLiFe4: computed XRD peak list (λ = 1.5418 Å (Cu Kα)), based on a crystal structure in OQMD, relaxed with GGA-PBE.
No peak broadening, texture or thermal motion is included.

Structural model:
a b c (Å): 4.7915 4.7915 4.9831
angles (deg): 90.00 90.00 92.83
Fractional coordinates of all 6 atoms:
K: 0.0000 0.0000 0.0000
Li: 0.5000 0.5000 0.5000
Fe: 0.1661 0.1661 0.5000
Fe: 0.3539 0.6461 0.0000
Fe: 0.6461 0.3539 0.0000
Fe: 0.8339 0.8339 0.5000

Largest 6 diffraction maxima, most intense first, 10 to 90 degrees two-theta:
2theta, d/Å, I_rel
32.52, 2.753, 100
36.05, 2.492, 66
25.81, 3.452, 59
60.99, 1.519, 47
41.34, 2.184, 46
25.67, 3.471, 37


5.
KNdFeS3: computed XRD peak list (λ = 1.5418 Å (Cu Kα)), based on a crystal structure in OQMD, relaxed with GGA-PBE.
No peak broadening, texture or thermal motion is included.

Structural model:
a b c (Å): 8.3722 4.0452 9.9370
angles (deg): 90.00 106.25 90.00
Fractional coordinates of all 12 atoms:
K: 0.2496 0.2500 0.2162
K: 0.7504 0.7500 0.7838
Nd: 0.1859 0.7500 0.6417
Nd: 0.8141 0.2500 0.3583
Fe: 0.4293 0.2500 0.9102
Fe: 0.5707 0.7500 0.0898
S: 0.0470 0.7500 0.3516
S: 0.2934 0.7500 0.9518
S: 0.4319 0.2500 0.6806
S: 0.5681 0.7500 0.3194
S: 0.7066 0.2500 0.0482
S: 0.9530 0.2500 0.6484

Largest 6 diffraction maxima, most intense first, 10 to 90 degrees two-theta:
2theta, d/Å, I_rel
12.25, 7.223, 100
30.90, 2.894, 41
24.64, 3.612, 21
35.17, 2.552, 20
27.47, 3.247, 20
31.38, 2.851, 19


6.
KNdFeS3: computed XRD peak list (λ = 1.5418 Å (Cu Kα)), based on a crystal structure in OQMD, relaxed with GGA-PBE.
No peak broadening, texture or thermal motion is included.

Structural model:
a b c (Å): 14.5323 4.0375 11.0250
angles (deg): 90.00 90.00 90.00
Fractional coordinates of all 24 atoms:
K: 0.2317 0.2500 0.0362
K: 0.2683 0.7500 0.5362
K: 0.7317 0.2500 0.4638
K: 0.7683 0.7500 0.9638
Nd: 0.0152 0.2500 0.3412
Nd: 0.4848 0.7500 0.8412
Nd: 0.5152 0.2500 0.1588
Nd: 0.9848 0.7500 0.6588
Fe: 0.0101 0.7500 0.0844
Fe: 0.4899 0.2500 0.5844
Fe: 0.5101 0.7500 0.4156
Fe: 0.9899 0.2500 0.9156
S: 0.0790 0.7500 0.8934
S: 0.1006 0.2500 0.5677
S: 0.1230 0.7500 0.2281
S: 0.3770 0.2500 0.7281
S: 0.3994 0.7500 0.0677
S: 0.4210 0.2500 0.3934
S: 0.5790 0.7500 0.6066
S: 0.6006 0.2500 0.9323
S: 0.6230 0.7500 0.2719
S: 0.8770 0.2500 0.7719
S: 0.8994 0.7500 0.4323
S: 0.9210 0.2500 0.1066

Largest 6 diffraction maxima, most intense first, 10 to 90 degrees two-theta:
2theta, d/Å, I_rel
12.18, 7.266, 100
33.14, 2.703, 34
28.07, 3.178, 29
29.93, 2.986, 22
41.65, 2.169, 21
24.50, 3.634, 15


7.
K4FeP2S8: computed XRD peak list (λ = 1.5418 Å (Cu Kα)), based on a crystal structure in OQMD, relaxed with GGA-PBE.
No peak broadening, texture or thermal motion is included.

Structural model:
a b c (Å): 6.4526 6.9804 9.0223
angles (deg): 86.79 81.85 84.49
Fractional coordinates of all 15 atoms:
K: 0.2105 0.1617 0.3594
K: 0.2454 0.7198 0.9816
K: 0.7546 0.2802 0.0184
K: 0.7895 0.8383 0.6406
Fe: 0.5000 0.5000 0.5000
P: 0.3280 0.2346 0.7604
P: 0.6720 0.7654 0.2396
S: 0.1868 0.4623 0.6363
S: 0.2598 0.2487 0.9871
S: 0.2755 0.9767 0.6873
S: 0.3661 0.6923 0.3228
S: 0.6339 0.3077 0.6772
S: 0.7245 0.0233 0.3127
S: 0.7402 0.7513 0.0129
S: 0.8132 0.5377 0.3637

Largest 6 diffraction maxima, most intense first, 10 to 90 degrees two-theta:
2theta, d/Å, I_rel
27.16, 3.283, 100
28.04, 3.182, 83
32.89, 2.723, 73
30.04, 2.974, 71
15.96, 5.553, 49
44.46, 2.038, 48


8.
KRbFe2Se4: computed XRD peak list (λ = 1.5418 Å (Cu Kα)), based on a crystal structure in OQMD, relaxed with GGA-PBE.
No peak broadening, texture or thermal motion is included.

Structural model:
a b c (Å): 6.9192 6.9192 5.6065
angles (deg): 101.67 101.67 116.16
Fractional coordinates of all 8 atoms:
K: 0.0000 0.0000 0.0000
Rb: 0.7237 0.2763 0.5000
Fe: 0.3618 0.6382 0.5000
Fe: 0.3650 0.6350 0.0000
Se: 0.0578 0.5588 0.1531
Se: 0.2782 0.3280 0.6510
Se: 0.4412 0.9422 0.8469
Se: 0.6720 0.7218 0.3490

Largest 6 diffraction maxima, most intense first, 10 to 90 degrees two-theta:
2theta, d/Å, I_rel
29.64, 3.014, 100
15.11, 5.865, 75
26.48, 3.366, 64
34.29, 2.615, 38
39.54, 2.279, 38
46.50, 1.953, 30